Ga3CuPd: computed powder X-ray diffraction pattern (Cu Kα X-rays), based on a GGA-PBE-relaxed structure.
No peak broadening, texture or thermal motion is included.

Structural model:
```
data_Ga3CuPd
_chemical_formula_sum 'Ga6 Cu2 Pd2'
_symmetry_space_group_name_H-M 'P m m n'
_symmetry_Int_Tables_number 59
_cell_length_a 4.131
_cell_length_b 7.392
_cell_length_c 5.329
_cell_angle_alpha 90.00
_cell_angle_beta 90.00
_cell_angle_gamma 90.00
loop_
_symmetry_equiv_pos_as_xyz
'x,y,z'
'-x,-y,-z'
'-x+1/2,-y+1/2,z'
'x+1/2,y+1/2,-z'
'x+1/2,-y,-z'
'-x+1/2,y,z'
'-x,y+1/2,-z'
'x,-y+1/2,z'
loop_
_atom_site_label
_atom_site_fract_x
_atom_site_fract_y
_atom_site_fract_z
_atom_site_occupancy
Ga1 0.250 0.062 0.249 1
Ga2 0.250 0.250 0.730 1
Cu1 0.250 0.750 0.516 1
Pd1 0.250 0.750 0.997 1
```

Main lines, by angle (5 to 70 degrees two-theta):
d 3.696, rel. 26.4
d 2.447, rel. 56.4
d 2.237, rel. 25.2
d 2.161, rel. 24.6
d 2.143, rel. 100.0
d 2.116, rel. 30.0
d 2.065, rel. 38.5
d 1.848, rel. 11.0
d 1.517, rel. 15.8
d 1.493, rel. 21.7

GaCuPd: computed powder X-ray diffraction pattern (Cu Kα X-rays), based on a GGA-PBE-relaxed structure.
No peak broadening, texture or thermal motion is included.

Structural model:
```
data_GaCuPd
_chemical_formula_sum 'Ga4 Cu4 Pd4'
_symmetry_space_group_name_H-M 'C 1 2/m 1'
_symmetry_Int_Tables_number 12
_symmetry_space_group_name_Hall '-C 2y'
_cell_length_a 9.133
_cell_length_b 3.990
_cell_length_c 5.226
_cell_angle_alpha 90.00
_cell_angle_beta 116.13
_cell_angle_gamma 90.00
loop_
_atom_site_label
_atom_site_fract_x
_atom_site_fract_y
_atom_site_fract_z
_atom_site_occupancy
Ga1 0.163 0.000 0.105 1
Cu1 0.007 0.500 0.756 1
Pd1 0.174 0.000 0.614 1
```

Main lines, by angle (5 to 70 degrees two-theta):
d 3.159, rel. 4.1
d 2.585, rel. 5.0
d 2.255, rel. 100.0
d 2.164, rel. 82.8
d 2.056, rel. 35.9
d 1.995, rel. 34.8
d 1.810, rel. 4.2
d 1.734, rel. 19.5
d 1.432, rel. 21.3
d 1.367, rel. 9.1

GaCu4Pd7: computed powder X-ray diffraction pattern (Cu Kα X-rays), based on a GGA-PBE-relaxed structure.
No peak broadening, texture or thermal motion is included.

Structural model:
```
data_GaCu4Pd7
_chemical_formula_sum 'Ga1 Cu4 Pd7'
_symmetry_space_group_name_H-M 'P -3 m 1'
_symmetry_Int_Tables_number 164
_symmetry_space_group_name_Hall '-P 3 2"'
_cell_length_a 4.3187
_cell_length_b 4.3187
_cell_length_c 10.5951
_cell_angle_alpha 90.00
_cell_angle_beta 90.00
_cell_angle_gamma 120.00
loop_
_atom_site_label
_atom_site_fract_x
_atom_site_fract_y
_atom_site_fract_z
_atom_site_occupancy
Ga1 0.0000 0.0000 0.0000 1
Cu1 0.3333 0.6667 0.1758 1
Cu2 0.3333 0.6667 0.4104 1
Pd1 0.0000 0.0000 0.2360 1
Pd2 0.0000 0.0000 0.5000 1
Pd3 0.3333 0.6667 0.6541 1
Pd4 0.3333 0.6667 0.9220 1
```

Main lines, by angle (5 to 70 degrees two-theta):
d 3.527, rel. 1.9
d 2.568, rel. 5.4
d 2.160, rel. 100.0
d 1.653, rel. 1.4
d 1.528, rel. 15.6
d 1.513, rel. 1.1

GaCu6Pd2: computed powder X-ray diffraction pattern (Cu Kα X-rays), based on a GGA-PBE-relaxed structure.
No peak broadening, texture or thermal motion is included.

Structural model:
```
data_GaCu6Pd2
_chemical_formula_sum 'Ga2 Cu12 Pd4'
_symmetry_space_group_name_H-M 'C 1 2/m 1'
_symmetry_Int_Tables_number 12
_symmetry_space_group_name_Hall '-C 2y'
_cell_length_a 7.541
_cell_length_b 4.970
_cell_length_c 6.628
_cell_angle_alpha 90.00
_cell_angle_beta 102.56
_cell_angle_gamma 90.00
loop_
_atom_site_label
_atom_site_fract_x
_atom_site_fract_y
_atom_site_fract_z
_atom_site_occupancy
Ga1 0.000 0.000 0.000 1
Cu1 0.037 0.256 0.690 1
Cu2 0.248 0.000 0.499 1
Pd1 0.181 0.500 0.079 1
```

Main lines, by angle (5 to 70 degrees two-theta):
d 2.406, rel. 21.7
d 2.320, rel. 25.2
d 2.219, rel. 37.9
d 2.202, rel. 92.8
d 2.067, rel. 70.6
d 2.060, rel. 69.6
d 2.035, rel. 45.1
d 2.011, rel. 23.8
d 1.970, rel. 100.0
d 1.881, rel. 27.2